(1)
Computed powder X-ray diffraction pattern
Compound: UAs
Radiation: CuKα
Structure: a cell relaxed with PBE

Peak list (9 most intense, 10 to 90 degrees two-theta, sorted by position)
2θ (°), intensity
25.40, 29
36.23, 100
44.77, 9
52.18, 18
58.90, 13
65.17, 37
76.91, 12
82.54, 7
88.10, 18

Crystal structure
```
UAs
1.0
3.506 0.000 0.000
0.000 3.506 0.000
0.000 0.000 3.506
U As
1 1
direct
0.000 0.000 0.000 U
0.500 0.500 0.500 As
```

=====

(2)
Computed powder X-ray diffraction pattern
Compound: CeSbPt5
Radiation: CuKα
Structure: a cell relaxed with PBE

Peak list (12 most intense, 10 to 90 degrees two-theta, sorted by position)
2θ (°), intensity
33.26, 43
34.26, 73
37.46, 100
37.59, 55
38.59, 47
38.76, 27
41.23, 36
42.10, 45
43.60, 57
45.16, 41
69.54, 32
69.83, 44

Crystal structure
```
CeSbPt5
1.0
4.660 -2.705 0.000
4.660 2.705 0.000
-3.145 0.000 10.471
Ce Sb Pt
2 2 10
direct
0.000 0.000 0.000 Ce
0.500 0.500 0.500 Ce
0.102 0.102 0.310 Sb
0.898 0.898 0.690 Sb
0.074 0.571 0.222 Pt
0.175 0.175 0.552 Pt
0.340 0.340 0.004 Pt
0.425 0.425 0.769 Pt
0.429 0.926 0.778 Pt
0.571 0.074 0.222 Pt
0.575 0.575 0.231 Pt
0.660 0.660 0.996 Pt
0.825 0.825 0.448 Pt
0.926 0.429 0.778 Pt
```

=====

(3)
Computed powder X-ray diffraction pattern
Compound: CaZnPd
Radiation: CuKα
Structure: a cell relaxed with PBE

Peak list (12 most intense, 10 to 90 degrees two-theta, sorted by position)
2θ (°), intensity
16.91, 36
22.93, 37
24.86, 34
33.11, 63
34.07, 100
39.51, 53
40.16, 63
40.50, 92
48.10, 32
49.28, 32
57.61, 33
65.70, 25

Crystal structure
```
CaZnPd
1.0
7.164 0.000 0.000
0.000 4.491 0.000
0.000 0.000 7.696
Ca Zn Pd
4 4 4
direct
0.011 0.250 0.193 Ca
0.489 0.750 0.693 Ca
0.511 0.250 0.307 Ca
0.989 0.750 0.807 Ca
0.166 0.250 0.576 Zn
0.334 0.750 0.076 Zn
0.666 0.250 0.924 Zn
0.834 0.750 0.424 Zn
0.207 0.750 0.398 Pd
0.293 0.250 0.898 Pd
0.707 0.750 0.102 Pd
0.793 0.250 0.602 Pd
```

=====

(4)
Computed powder X-ray diffraction pattern
Compound: CeI2O6
Radiation: CuKα
Structure: a cell relaxed with PBE

Peak list (12 most intense, 10 to 90 degrees two-theta, sorted by position)
2θ (°), intensity
25.17, 58
25.66, 52
26.33, 37
26.82, 13
28.14, 100
30.71, 40
31.72, 26
41.10, 13
44.42, 13
45.05, 32
47.43, 12
54.37, 16

Crystal structure
```
CeI2O6
1.0
7.131 0.000 0.000
0.000 11.501 0.000
-5.475 0.000 7.082
Ce I O
4 8 24
direct
0.217 0.064 0.217 Ce
0.217 0.436 0.717 Ce
0.783 0.564 0.283 Ce
0.783 0.936 0.783 Ce
0.218 0.104 0.681 I
0.218 0.396 0.181 I
0.277 0.747 0.324 I
0.277 0.753 0.824 I
0.723 0.247 0.176 I
0.723 0.253 0.676 I
0.782 0.604 0.819 I
0.782 0.896 0.319 I
0.046 0.732 0.368 O
0.046 0.768 0.868 O
0.070 0.049 0.917 O
0.070 0.451 0.417 O
0.071 0.083 0.425 O
0.071 0.417 0.925 O
0.384 0.239 0.714 O
0.384 0.261 0.214 O
0.399 0.606 0.943 O
0.399 0.894 0.443 O
0.459 0.502 0.279 O
0.459 0.998 0.779 O
0.541 0.002 0.221 O
0.541 0.498 0.721 O
0.601 0.106 0.557 O
0.601 0.394 0.057 O
0.616 0.739 0.786 O
0.616 0.761 0.286 O
0.929 0.583 0.075 O
0.929 0.917 0.575 O
0.930 0.549 0.583 O
0.930 0.951 0.083 O
0.954 0.232 0.132 O
0.954 0.268 0.632 O
```

=====

(5)
Computed powder X-ray diffraction pattern
Compound: Sr
Radiation: CuKα
Structure: a cell relaxed with PBE

Peak list (9 most intense, 10 to 90 degrees two-theta, sorted by position)
2θ (°), intensity
26.52, 100
37.85, 19
46.81, 42
54.61, 13
61.71, 18
68.36, 4
74.72, 21
80.89, 2
86.95, 11

Crystal structure
```
Sr
1.0
4.754 0.000 0.000
0.000 4.754 0.000
0.000 0.000 4.754
Sr
2
direct
0.000 0.000 0.000 Sr
0.500 0.500 0.500 Sr
```

=====

(6)
Computed powder X-ray diffraction pattern
Compound: Cu2P7
Radiation: CuKα
Structure: a cell relaxed with PBE

Peak list (12 most intense, 10 to 90 degrees two-theta, sorted by position)
2θ (°), intensity
25.04, 9
25.54, 17
28.18, 14
29.44, 100
30.86, 12
31.96, 44
32.05, 37
45.11, 10
50.05, 18
50.17, 42
50.31, 30
56.39, 15

Crystal structure
```
Cu2P7
1.0
6.358 -3.645 0.000
6.358 3.645 0.000
-4.442 0.000 14.000
Cu P
8 28
direct
0.034 0.034 0.354 Cu
0.157 0.157 0.967 Cu
0.281 0.281 0.573 Cu
0.383 0.383 0.206 Cu
0.617 0.617 0.794 Cu
0.719 0.719 0.427 Cu
0.843 0.843 0.033 Cu
0.966 0.966 0.646 Cu
0.029 0.560 0.224 P
0.041 0.557 0.377 P
0.105 0.105 0.797 P
0.173 0.643 0.981 P
0.224 0.224 0.407 P
0.225 0.538 0.830 P
0.235 0.728 0.422 P
0.272 0.765 0.578 P
0.347 0.347 0.043 P
0.357 0.827 0.019 P
0.440 0.971 0.776 P
0.443 0.959 0.623 P
0.462 0.775 0.170 P
0.472 0.472 0.645 P
0.528 0.528 0.355 P
0.538 0.225 0.830 P
0.557 0.041 0.377 P
0.560 0.029 0.224 P
0.643 0.173 0.981 P
0.653 0.653 0.957 P
0.728 0.235 0.422 P
0.765 0.272 0.578 P
0.775 0.462 0.170 P
0.776 0.776 0.593 P
0.827 0.357 0.019 P
0.895 0.895 0.203 P
0.959 0.443 0.623 P
0.971 0.440 0.776 P
```